Simulated powder X-ray diffraction pattern
Compound: GdSbPt
Radiation: λ = 1.5418 Å (Cu Kα)
Structure: DFT lattice parameters and positions (PBE)
Lines closer than 0.1° are merged.

Most intense lines, 10 to 90 degrees two-theta, most intense first:
Position (°2θ), I (rel.), h k l
37.7, 100, 2 2 0
68.1, 35, 4 2 2
26.4, 29, 2 0 0
22.8, 18, 1 1 1
54.4, 17, 4 0 0
61.5, 12, 4 2 0
80.5, 11, 4 4 0
44.5, 9, 3 1 1

Cell and atoms:
```
data_GdSbPt
_chemical_formula_sum 'Gd4 Sb4 Pt4'
_cell_length_a 6.7476
_cell_length_b 6.7476
_cell_length_c 6.7476
_cell_angle_alpha 90.00
_cell_angle_beta 90.00
_cell_angle_gamma 90.00
_space_group_name_H-M_alt 'F -4 3 m'
_space_group_IT_number 216
_space_group_name_Hall 'F -4 2 3'
loop_
_atom_site_label
_atom_site_type_symbol
_atom_site_fract_x
_atom_site_fract_y
_atom_site_fract_z
Gd1 Gd 0.0000 0.0000 0.0000
Sb1 Sb 0.2500 0.2500 0.7500
Pt1 Pt 0.0000 0.0000 0.5000
```